This entry pairs a crystal structure of Ba3LaY2Cu6O14 with its theoretical powder XRD pattern. Radiation: Cu Kα (λ = 1.5418 Å). Structure: a PBE-relaxed structure.
Kinematic intensities with the Lorentz-polarization factor, no thermal factor.

Largest 10 diffraction maxima, by intensity, 2θ = 10–90°:
- d 2.740, I 100
- d 2.776, I 45
- d 1.596, I 34
- d 1.575, I 17
- d 1.965, I 16
- d 1.913, I 14
- d 2.247, I 12
- d 2.354, I 9
- d 1.371, I 9
- d 1.213, I 8

Cell and atoms:
```
Ba3LaY2Cu6O14
1.0
0.0000 3.9298 11.7698
3.8253 0.0000 11.7698
3.8253 3.9298 0.0000
Ba La Y Cu O
3 1 2 6 14
Direct
0.0000 0.0000 0.0000
0.1877 0.1877 0.8123
0.6830 0.6830 0.3170
0.5020 0.5020 0.4980
0.3455 0.3455 0.6545
0.8408 0.8408 0.1592
0.0908 0.0908 0.4092
0.2752 0.2752 0.2248
0.4154 0.4154 0.0846
0.5908 0.5908 0.9092
0.7752 0.7752 0.7248
0.9154 0.9154 0.5846
0.0111 0.0111 0.4889
0.0300 0.5445 0.4555
0.0418 0.5218 0.9582
0.1311 0.6797 0.8689
0.1699 0.1699 0.3301
0.2047 0.6256 0.3744
0.3696 0.7973 0.6304
0.5111 0.5111 0.9889
0.5218 0.0418 0.4782
0.5445 0.0300 0.9700
0.6256 0.2047 0.7953
0.6699 0.6699 0.8301
0.6797 0.1311 0.3203
0.7973 0.3696 0.2027
```



This entry pairs a crystal structure of La3Mg2 with its theoretical powder XRD pattern. Radiation: Cu Kα (λ = 1.5418 Å). Structure: a PBE-relaxed structure.
Kinematic intensities with the Lorentz-polarization factor, no thermal factor.

Largest 10 diffraction maxima, by intensity, 2θ = 10–90°:
- d 2.864, I 100
- d 2.791, I 50
- d 3.878, I 41
- d 1.625, I 36
- d 1.974, I 18
- d 1.668, I 16
- d 2.174, I 16
- d 3.467, I 15
- d 1.706, I 11
- d 1.432, I 10

Cell and atoms:
```
La3Mg2
1.0
3.9474 0.0000 0.0000
0.0000 3.9474 0.0000
0.0000 0.0000 20.8027
La Mg
6 4
Direct
0.0000 0.0000 0.0000
0.0000 0.0000 0.1898
0.0000 0.0000 0.8102
0.5000 0.5000 0.3102
0.5000 0.5000 0.5000
0.5000 0.5000 0.6898
0.0000 0.0000 0.4046
0.0000 0.0000 0.5954
0.5000 0.5000 0.0954
0.5000 0.5000 0.9046
```



This entry pairs a crystal structure of Li2HoMgAu2 with its theoretical powder XRD pattern. Radiation: Cu Kα (λ = 1.5418 Å). Structure: a PBE-relaxed structure.
Kinematic intensities with the Lorentz-polarization factor, no thermal factor.

Largest 10 diffraction maxima, by intensity, 2θ = 10–90°:
- d 3.348, I 100
- d 2.502, I 53
- d 2.253, I 46
- d 1.869, I 20
- d 1.898, I 19
- d 1.439, I 17
- d 1.674, I 16
- d 1.320, I 15
- d 1.344, I 15
- d 1.220, I 9

Cell and atoms:
```
Li2HoMgAu2
1.0
4.5064 0.0000 0.0000
-2.2532 3.9027 0.0000
0.0000 0.0000 6.5187
Li Ho Mg Au
2 1 1 2
Direct
0.3333 0.6667 0.1832
0.6667 0.3333 0.8168
0.0000 0.0000 0.5000
0.0000 0.0000 0.0000
0.3333 0.6667 0.7603
0.6667 0.3333 0.2397
```



This entry pairs a crystal structure of PmP3Pt6 with its theoretical powder XRD pattern. Radiation: Cu Kα (λ = 1.5418 Å). Structure: a PBE-relaxed structure.
Kinematic intensities with the Lorentz-polarization factor, no thermal factor.

Largest 10 diffraction maxima, by intensity, 2θ = 10–90°:
- d 3.175, I 100
- d 2.705, I 94
- d 2.575, I 75
- d 2.000, I 65
- d 2.590, I 62
- d 2.240, I 56
- d 2.007, I 52
- d 1.831, I 51
- d 1.517, I 36
- d 2.054, I 31

Cell and atoms:
```
PmP3Pt6
1.0
3.1745 1.8328 5.1505
-3.1745 1.8328 5.1505
0.0000 -3.6656 5.1505
Pm P Pt
1 3 6
Direct
0.0000 0.0000 0.0000
0.1919 0.1919 0.1919
0.4424 0.4424 0.4424
0.7087 0.7087 0.7087
0.0224 0.4156 0.5000
0.0974 0.5621 0.8020
0.4156 0.5000 0.0224
0.5000 0.0224 0.4156
0.5621 0.8020 0.0974
0.8020 0.0974 0.5621
```



This entry pairs a crystal structure of SrYGa3O7 with its theoretical powder XRD pattern. Radiation: Cu Kα (λ = 1.5418 Å). Structure: a PBE-relaxed structure.
Kinematic intensities with the Lorentz-polarization factor, no thermal factor.

Largest 10 diffraction maxima, by intensity, 2θ = 10–90°:
- d 2.995, I 100
- d 2.948, I 93
- d 3.199, I 31
- d 2.515, I 31
- d 2.557, I 30
- d 1.841, I 29
- d 1.825, I 28
- d 2.653, I 25
- d 1.447, I 16
- d 1.583, I 16

Cell and atoms:
```
SrYGa3O7
1.0
5.5911 -5.7518 0.0000
5.5911 5.7518 0.0000
0.0000 0.0000 5.3069
Sr Y Ga O
2 2 6 14
Direct
0.1623 0.8377 0.0000
0.8377 0.1623 0.0000
0.3417 0.3417 0.0305
0.6583 0.6583 0.0305
0.0000 0.5000 0.4984
0.1510 0.1510 0.4759
0.3604 0.6396 0.5430
0.5000 0.0000 0.4984
0.6396 0.3604 0.5430
0.8490 0.8490 0.4759
0.0000 0.0000 0.3355
0.1032 0.3455 0.2902
0.1621 0.1621 0.8159
0.1625 0.5860 0.7093
0.3455 0.1032 0.2902
0.3762 0.6238 0.1997
0.4140 0.8375 0.7093
0.5000 0.5000 0.7293
0.5860 0.1625 0.7093
0.6238 0.3762 0.1997
0.6545 0.8968 0.2902
0.8375 0.4140 0.7093
0.8379 0.8379 0.8159
0.8968 0.6545 0.2902
```



This entry pairs a crystal structure of TaZn2Ni with its theoretical powder XRD pattern. Radiation: Cu Kα (λ = 1.5418 Å). Structure: a PBE-relaxed structure.
Kinematic intensities with the Lorentz-polarization factor, no thermal factor.

Largest 10 diffraction maxima, by intensity, 2θ = 10–90°:
- d 2.246, I 100
- d 1.911, I 61
- d 2.306, I 51
- d 2.153, I 44
- d 1.989, I 32
- d 1.343, I 26
- d 4.903, I 26
- d 4.305, I 23
- d 1.416, I 18
- d 2.595, I 13

Cell and atoms:
```
TaZn2Ni
1.0
8.7389 0.0000 0.0000
0.0000 2.7211 0.0000
-0.8492 0.0000 4.9025
Ta Zn Ni
2 4 2
Direct
0.0000 0.0000 0.0000
0.5000 0.5000 0.0000
0.2389 0.0000 0.6908
0.4871 0.0000 0.4857
0.7389 0.5000 0.6908
0.9871 0.5000 0.4857
0.2518 0.5000 0.2011
0.7518 0.0000 0.2011
```



This entry pairs a crystal structure of Ac2CeSn3Pd6 with its theoretical powder XRD pattern. Radiation: Cu Kα (λ = 1.5418 Å). Structure: a PBE-relaxed structure.
Kinematic intensities with the Lorentz-polarization factor, no thermal factor.

Largest 10 diffraction maxima, by intensity, 2θ = 10–90°:
- d 3.437, I 100
- d 2.121, I 76
- d 2.097, I 65
- d 2.670, I 50
- d 2.957, I 48
- d 2.999, I 41
- d 2.162, I 35
- d 1.805, I 34
- d 1.500, I 25
- d 2.478, I 23

Cell and atoms:
```
Ac2CeSn3Pd6
1.0
4.2417 0.0000 0.0000
0.0000 4.2417 0.0000
0.0000 0.0000 17.5952
Ac Ce Sn Pd
2 1 3 6
Direct
0.0000 0.0000 0.1814
0.0000 0.0000 0.8186
0.0000 0.0000 0.5000
0.5000 0.5000 0.0000
0.5000 0.5000 0.2974
0.5000 0.5000 0.7026
0.0000 0.5000 0.3896
0.0000 0.5000 0.6104
0.5000 0.0000 0.3896
0.5000 0.0000 0.6104
0.5000 0.5000 0.1451
0.5000 0.5000 0.8549
```



This entry pairs a crystal structure of DyTeBrO4 with its theoretical powder XRD pattern. Radiation: Cu Kα (λ = 1.5418 Å). Structure: a PBE-relaxed structure.
Kinematic intensities with the Lorentz-polarization factor, no thermal factor.

Largest 10 diffraction maxima, by intensity, 2θ = 10–90°:
- d 3.614, I 100
- d 3.125, I 35
- d 2.637, I 33
- d 6.733, I 28
- d 3.156, I 20
- d 2.555, I 18
- d 3.367, I 16
- d 5.114, I 15
- d 1.992, I 14
- d 2.046, I 14

Cell and atoms:
```
DyTeBrO4
1.0
5.3350 -3.6171 0.0000
5.3350 3.6171 0.0000
-1.9989 0.0000 6.7331
Dy Te Br O
2 2 2 8
Direct
0.2300 0.2300 0.1205
0.7700 0.7700 0.8795
0.3654 0.3654 0.7320
0.6346 0.6346 0.2680
0.0076 0.0076 0.7574
0.9924 0.9924 0.2426
0.1105 0.4826 0.8559
0.2944 0.2944 0.4641
0.4566 0.4566 0.1968
0.4826 0.1105 0.8559
0.5174 0.8895 0.1441
0.5434 0.5434 0.8032
0.7056 0.7056 0.5359
0.8895 0.5174 0.1441
```



This entry pairs a crystal structure of Sm3Ho2Cd4 with its theoretical powder XRD pattern. Radiation: Cu Kα (λ = 1.5418 Å). Structure: a PBE-relaxed structure.
Kinematic intensities with the Lorentz-polarization factor, no thermal factor.

Largest 10 diffraction maxima, by intensity, 2θ = 10–90°:
- d 2.571, I 100
- d 3.094, I 65
- d 2.524, I 58
- d 2.599, I 53
- d 1.524, I 49
- d 2.934, I 48
- d 2.437, I 47
- d 3.049, I 28
- d 2.317, I 24
- d 3.148, I 24

Cell and atoms:
```
Sm3Ho2Cd4
1.0
3.3284 -9.6849 0.0000
3.3284 9.6849 0.0000
0.0000 0.0000 8.0948
Sm Ho Cd
6 4 8
Direct
0.0000 0.0000 0.0000
0.0042 0.4958 0.2500
0.4958 0.0042 0.7500
0.5000 0.5000 0.5000
0.5042 0.9958 0.2500
0.9958 0.5042 0.7500
0.0897 0.9103 0.3993
0.4103 0.5897 0.8993
0.5897 0.4103 0.1007
0.9103 0.0897 0.6007
0.1564 0.8436 0.0212
0.1716 0.3284 0.2500
0.3284 0.1716 0.7500
0.3436 0.6564 0.5212
0.6564 0.3436 0.4788
0.6716 0.8284 0.2500
0.8284 0.6716 0.7500
0.8436 0.1564 0.9788
```



This entry pairs a crystal structure of Tb3PrDy6 with its theoretical powder XRD pattern. Radiation: Cu Kα (λ = 1.5418 Å). Structure: a PBE-relaxed structure.
Kinematic intensities with the Lorentz-polarization factor, no thermal factor.

Largest 10 diffraction maxima, by intensity, 2θ = 10–90°:
- d 2.820, I 100
- d 2.834, I 79
- d 3.115, I 58
- d 2.602, I 53
- d 2.950, I 35
- d 3.127, I 28
- d 2.706, I 25
- d 3.186, I 25
- d 1.564, I 21
- d 1.794, I 20

Cell and atoms:
```
Tb3PrDy6
1.0
5.5310 -9.4958 0.0000
5.5310 9.4958 0.0000
0.0000 0.0000 6.2048
Tb Pr Dy
6 2 12
Direct
0.1098 0.8902 0.5000
0.2173 0.4364 0.8897
0.4364 0.2173 0.3897
0.5636 0.7827 0.8897
0.7827 0.5636 0.3897
0.8902 0.1098 0.0000
0.2946 0.7054 0.5753
0.7054 0.2946 0.0753
0.0387 0.4600 0.2971
0.1186 0.2116 0.4627
0.2116 0.1186 0.9627
0.2169 0.7831 0.0692
0.4546 0.5454 0.3413
0.4600 0.0387 0.7971
0.5400 0.9613 0.2971
0.5454 0.4546 0.8413
0.7831 0.2169 0.5692
0.7884 0.8814 0.4627
0.8814 0.7884 0.9627
0.9613 0.5400 0.7971
```



This entry pairs a crystal structure of Sm2Ho9Tm3 with its theoretical powder XRD pattern. Radiation: Cu Kα (λ = 1.5418 Å). Structure: a PBE-relaxed structure.
Kinematic intensities with the Lorentz-polarization factor, no thermal factor.

Largest 10 diffraction maxima, by intensity, 2θ = 10–90°:
- d 2.762, I 100
- d 2.678, I 68
- d 2.793, I 52
- d 2.880, I 33
- d 2.005, I 23
- d 1.606, I 22
- d 3.017, I 19
- d 1.463, I 19
- d 1.542, I 15
- d 1.481, I 13

Cell and atoms:
```
Sm2Ho9Tm3
1.0
8.1196 -5.2419 0.0000
8.1196 5.2419 0.0000
-1.9136 0.0000 5.2488
Sm Ho Tm
2 9 3
Direct
0.1573 0.8427 0.0000
0.8427 0.1573 0.0000
0.0447 0.7110 0.3778
0.0850 0.4630 0.7740
0.4000 0.7279 0.5648
0.4630 0.0850 0.7740
0.4655 0.4655 0.9667
0.5147 0.8348 0.1755
0.7110 0.0447 0.3778
0.7279 0.4000 0.5648
0.8348 0.5147 0.1755
0.0873 0.0873 0.5871
0.2331 0.2331 0.2327
0.7758 0.7758 0.7758
```



This entry pairs a crystal structure of K5Zr with its theoretical powder XRD pattern. Radiation: Cu Kα (λ = 1.5418 Å). Structure: a PBE-relaxed structure.
Kinematic intensities with the Lorentz-polarization factor, no thermal factor.

Largest 10 diffraction maxima, by intensity, 2θ = 10–90°:
- d 3.510, I 100
- d 3.119, I 64
- d 3.483, I 31
- d 2.471, I 23
- d 1.690, I 23
- d 1.941, I 15
- d 6.078, I 15
- d 2.026, I 14
- d 2.791, I 12
- d 2.776, I 12

Cell and atoms:
```
K5Zr
1.0
7.0127 0.0000 0.0000
0.0000 3.8560 0.0000
0.0000 0.0000 24.3421
K Zr
10 2
Direct
0.0000 0.0000 0.0000
0.0000 0.0000 0.2933
0.0000 0.5000 0.5000
0.0000 0.5000 0.7933
0.5000 0.0000 0.0851
0.5000 0.0000 0.4050
0.5000 0.0000 0.7279
0.5000 0.5000 0.2279
0.5000 0.5000 0.5851
0.5000 0.5000 0.9050
0.0000 0.0000 0.6463
0.0000 0.5000 0.1463
```



What did the ninth record say?
This entry pairs a crystal structure of Sm3Ho2Cd4 with its theoretical powder XRD pattern. Radiation: Cu Kα (λ = 1.5418 Å). Structure: a PBE-relaxed structure.
Kinematic intensities with the Lorentz-polarization factor, no thermal factor.

Largest 10 diffraction maxima, by intensity, 2θ = 10–90°:
- d 2.571, I 100
- d 3.094, I 65
- d 2.524, I 58
- d 2.599, I 53
- d 1.524, I 49
- d 2.934, I 48
- d 2.437, I 47
- d 3.049, I 28
- d 2.317, I 24
- d 3.148, I 24

Cell and atoms:
```
Sm3Ho2Cd4
1.0
3.3284 -9.6849 0.0000
3.3284 9.6849 0.0000
0.0000 0.0000 8.0948
Sm Ho Cd
6 4 8
Direct
0.0000 0.0000 0.0000
0.0042 0.4958 0.2500
0.4958 0.0042 0.7500
0.5000 0.5000 0.5000
0.5042 0.9958 0.2500
0.9958 0.5042 0.7500
0.0897 0.9103 0.3993
0.4103 0.5897 0.8993
0.5897 0.4103 0.1007
0.9103 0.0897 0.6007
0.1564 0.8436 0.0212
0.1716 0.3284 0.2500
0.3284 0.1716 0.7500
0.3436 0.6564 0.5212
0.6564 0.3436 0.4788
0.6716 0.8284 0.2500
0.8284 0.6716 0.7500
0.8436 0.1564 0.9788
```



What is the formula in the second record? La3Mg2